The following is a calculated powder X-ray diffraction pattern of K2AcCr2O7. It was derived from a GGA+U-relaxed structure, using Cu Kα (λ = 1.5418 Å).

The 10 most intense peaks (2θ = 10–90°), by angle:
2theta  d/Å  Rel. int.
11.48  7.709  333
17.75  4.998  212
18.96  4.681  855
23.21  3.833  387
25.96  3.432  1000
30.24  2.955  696
38.43  2.343  348
40.27  2.239  236
46.85  1.939  278
51.18  1.785  260

Structure:
```
12
Lattice="2.9554 1.7063 7.7091 -2.9554 1.7063 7.7091 0.0000 -3.4126 7.7091" Properties=species:S:1:pos:R:3 pbc="T T T"
K 0.0000 0.0000 4.7882
K 0.0000 0.0000 18.3391
Ac 0.0000 0.0000 0.0000
Cr 0.0000 0.0000 9.7629
Cr 0.0000 0.0000 13.3644
O -0.5971 -1.5734 9.3011
O -1.0641 -1.3038 13.8262
O -1.0641 1.3038 9.3011
O 0.0000 0.0000 11.5637
O -0.5971 1.5734 13.8262
O 1.6612 0.2696 9.3011
O 1.6612 -0.2696 13.8262
```